[1]
For Si2H5CNCl4, a structure optimized by DFT (PBE) gives the computed powder XRD pattern in this record (CuKα).
Lines closer than 0.1° are merged.

Structural model:
```
data_Si2H5CNCl4
_cell_length_a 7.840
_cell_length_b 12.313
_cell_length_c 10.642
_cell_angle_alpha 90.00
_cell_angle_beta 92.12
_cell_angle_gamma 90.00
_space_group_name_H-M_alt 'P 1 21/c 1'
_space_group_IT_number 14
_space_group_name_Hall '-P 2ybc'
loop_
_atom_site_label
_atom_site_fract_x
_atom_site_fract_y
_atom_site_fract_z
Si1 0.060 0.195 0.203
Si2 0.338 0.047 0.306
H1 0.013 0.672 0.174
H2 0.221 0.039 0.411
H3 0.281 0.092 0.992
H4 0.347 0.226 0.041
H5 0.476 0.113 0.083
C1 0.343 0.140 0.069
N1 0.250 0.127 0.187
Cl1 0.098 0.140 0.685
Cl2 0.112 0.653 0.440
Cl3 0.395 0.605 0.739
Cl4 0.433 0.611 0.128
```

Principal peaks in the range 2θ from 10° to 90°, low angle first:
| (hkl) | d [Å] | 2θ (°) | Rel. int. |
| --- | --- | --- | --- |
| 1 1 -1 | 5.694 | 15.56 | 797 |
| 0 0 2 | 5.319 | 16.67 | 844 |
| 1 2 0 | 4.841 | 18.33 | 629 |
| 1 1 -2 | 4.208 | 21.11 | 1000 |
| 2 1 -1 | 3.561 | 25.00 | 400 |
| 2 2 1 | 3.129 | 28.53 | 268 |
| 2 1 -2 | 3.107 | 28.73 | 296 |
| 0 4 0 | 3.079 | 29.00 | 529 |
| 0 2 3 | 3.072 | 29.07 | 403 |
| 2 1 2 | 3.006 | 29.72 | 308 |



[2]
For SnH5CN2Cl3, a structure optimized by DFT (PBE) gives the computed powder XRD pattern in this record (CuKα).
Lines closer than 0.1° are merged.

Structural model:
```
data_SnH5CN2Cl3
_cell_length_a 6.040
_cell_length_b 7.718
_cell_length_c 8.308
_cell_angle_alpha 90.00
_cell_angle_beta 90.00
_cell_angle_gamma 90.00
_space_group_name_H-M_alt 'A m m 2'
_space_group_IT_number 38
_space_group_name_Hall 'A 2 -2'
loop_
_atom_site_label
_atom_site_fract_x
_atom_site_fract_y
_atom_site_fract_z
Sn1 0.000 0.000 0.000
H1 0.170 0.000 0.544
H2 0.295 0.000 0.353
H3 0.500 0.000 0.681
C1 0.500 0.000 0.549
N1 0.309 0.000 0.475
Cl1 0.000 0.248 0.731
Cl2 0.500 0.000 0.022
```

Principal peaks in the range 2θ from 10° to 90°, low angle first:
| (hkl) | d [Å] | 2θ (°) | Rel. int. |
| --- | --- | --- | --- |
| 1 0 0 | 6.040 | 14.66 | 811 |
| 0 1 1 | 5.655 | 15.67 | 902 |
| 0 0 2 | 4.154 | 21.39 | 305 |
| 1 1 1 | 4.128 | 21.53 | 832 |
| 0 2 0 | 3.859 | 23.05 | 291 |
| 2 0 0 | 3.020 | 29.58 | 410 |
| 0 2 2 | 2.827 | 31.65 | 1000 |
| 2 1 1 | 2.664 | 33.64 | 701 |
| 1 2 2 | 2.561 | 35.04 | 453 |
| 2 2 2 | 2.064 | 43.86 | 517 |